Dy2HF8: computed X-ray powder pattern (a wavelength of 1.5418 Å), based on a cell relaxed with GGA-PBE.
Kinematic intensities with the Lorentz-polarization factor, no thermal factor.

Most intense lines, 2θ from 10° to 80°, by intensity:
2θ = 20.43°, d = 4.347 Å, I = 100.0, hkl 0 0 1
2θ = 17.24°, d = 5.143 Å, I = 62.6, hkl 2 0 0
2θ = 26.05°, d = 3.421 Å, I = 52.9, hkl 0 2 0
2θ = 15.56°, d = 5.697 Å, I = 48.6, hkl 1 1 0
2θ = 35.85°, d = 2.505 Å, I = 47.7, hkl 3 1 -1
2θ = 29.13°, d = 3.065 Å, I = 33.2, hkl 3 1 0
2θ = 26.85°, d = 3.320 Å, I = 30.6, hkl 2 0 1
2θ = 31.41°, d = 2.848 Å, I = 29.9, hkl 2 2 0
2θ = 50.89°, d = 1.794 Å, I = 27.6, hkl 5 1 1
2θ = 46.08°, d = 1.970 Å, I = 26.9, hkl 5 1 0

```
data_Dy2HF8
_chemical_formula_sum 'Dy4 H2 F16'
_cell_length_a 10.285
_cell_length_b 6.842
_cell_length_c 4.347
_cell_angle_alpha 90.00
_cell_angle_beta 90.14
_cell_angle_gamma 90.00
_space_group_name_H-M_alt 'C 1 2/m 1'
_space_group_IT_number 12
loop_
_space_group_symop_operation_xyz
'x,y,z'
'-x,-y,-z'
'-x,y,-z'
'x,-y,z'
'x+1/2,y+1/2,z'
'-x+1/2,-y+1/2,-z'
'-x+1/2,y+1/2,-z'
'x+1/2,-y+1/2,z'
loop_
_atom_site_label
_atom_site_type_symbol
_atom_site_fract_x
_atom_site_fract_y
_atom_site_fract_z
_atom_site_occupancy
Dy1 Dy 0.192 0.000 0.001 1
H1 H 0.000 0.500 0.000 1
F1 F 0.000 0.000 0.259 1
F2 F 0.123 0.322 0.999 1
F3 F 0.238 0.000 0.501 1
```